This entry pairs a crystal structure of Sr2CaV2Si4O14 with its calculated powder diffraction line list. Radiation: a wavelength of 1.5418 Å. Structure: a cell relaxed with PBE+U.
Intensities are scaled so that the largest is 100.

Structure:
abc: 5.6704 7.2690 7.7896
angles: 90.00 107.31 90.00
Element x y z (fractional)
Sr1 0.0000 0.0000 0.0000
Sr2 0.3405 0.5000 0.7787
Ca1 0.4006 0.5000 0.3542
V1 0.2576 0.0000 0.5625
V2 0.9712 0.5000 0.0809
Si1 0.5462 0.2188 0.1302
Si2 0.5462 0.7812 0.1302
Si3 0.7690 0.2687 0.5693
Si4 0.7690 0.7313 0.5693
O1 0.0242 0.5000 0.3194
O2 0.0396 0.1905 0.6685
O3 0.0396 0.8095 0.6685
O4 0.1342 0.0000 0.3213
O5 0.2732 0.3160 0.0716
O6 0.2732 0.6840 0.0716
O7 0.5045 0.0000 0.0750
O8 0.5230 0.2134 0.6253
O9 0.5230 0.7866 0.6253
O10 0.6701 0.2474 0.3463
O11 0.6701 0.7526 0.3463
O12 0.7158 0.2994 0.0120
O13 0.7158 0.7006 0.0120
O14 0.7825 0.5000 0.6099

Principal peaks in the range 10 to 80 degrees two-theta, low angle first:
23.93 deg, rel. 49, hkl 0 0 2; 26.93 deg, rel. 53, hkl 0 1 2; 27.61 deg, rel. 94, hkl 1 1 -2; 29.60 deg, rel. 100, hkl 1 2 0; 30.06 deg, rel. 69, hkl 1 2 -1; 31.63 deg, rel. 43, hkl 2 0 -1; 35.05 deg, rel. 42, hkl 1 0 -3; 35.37 deg, rel. 35, hkl 2 1 0; 41.58 deg, rel. 42, hkl 2 2 0; 50.20 deg, rel. 37, hkl 0 4 0